(1)
Structure and simulated PXRD pattern of Ac2TbPm4Sm2 (a cell relaxed with PBE; Cu Kα).
Intensities are scaled so that the largest is 100.

Structural model:
```
9
Lattice="8.8357 -1.8524 0.0000 8.8357 1.8524 0.0000 -1.6221 0.0000 9.9966" Properties=species:S:1:pos:R:3 pbc="T T T"
Ac 2.7426 0.0000 0.8013
Ac 13.3067 0.0000 9.1953
Tb -0.8111 0.0000 4.9983
Pm 1.8172 0.0000 7.2324
Pm 8.3325 0.0000 1.8062
Pm 7.7168 0.0000 8.1904
Pm 14.2321 0.0000 2.7642
Sm 4.9945 0.0000 5.7843
Sm 11.0548 0.0000 4.2123
```

Principal peaks in the range 2θ = 10–90°, in order of rising 2θ:
two_theta	I (rel.)
28.6	36.4
29.2	69.3
30.0	79.3
30.2	97.5
30.7	89.6
30.8	100.0
31.1	79.2
32.5	33.5
45.2	30.4
59.1	32.1

=====

(2)
Structure and simulated PXRD pattern of AcPmSm2Tl2 (a cell relaxed with PBE; Cu Kα).
Intensities are scaled so that the largest is 100.

Structural model:
```
12
Lattice="5.2374 0.0000 0.0000 0.0000 10.4840 0.0000 0.0000 0.0000 7.1575" Properties=species:S:1:pos:R:3 pbc="T T T"
Ac 0.0000 0.5042 0.0000
Ac 0.0000 9.9797 3.5788
Pm 2.6187 2.0735 5.2067
Pm 2.6187 8.4104 1.6279
Sm 0.0000 3.3624 2.8043
Sm 0.0000 7.1216 6.3831
Sm 2.6187 4.7524 0.7711
Sm 2.6187 5.7316 4.3498
Tl 0.0000 3.9190 6.0578
Tl 0.0000 6.5650 2.4791
Tl 2.6187 1.5054 1.9643
Tl 2.6187 8.9785 5.5430
```

Principal peaks in the range 2θ = 10–90°, in order of rising 2θ:
two_theta	I (rel.)
28.4	26.2
30.2	92.5
30.8	100.0
31.5	89.4
33.3	41.8
34.2	66.1
35.9	26.5
45.1	21.8
50.5	21.4
54.9	25.7

=====

(3)
Structure and simulated PXRD pattern of AcPm4SmTm2 (a cell relaxed with PBE; Cu Kα).
Intensities are scaled so that the largest is 100.

Structural model:
```
8
Lattice="5.7685 -2.5791 0.0000 5.7685 2.5791 0.0000 -4.6648 0.0000 9.2574" Properties=species:S:1:pos:R:3 pbc="T T T"
Ac 0.0000 0.0000 0.0000
Pm -1.2018 0.0000 8.0520
Pm 1.1338 0.0000 3.5025
Pm 5.7385 0.0000 5.7549
Pm 8.0741 0.0000 1.2055
Sm -2.3324 0.0000 4.6287
Tm 4.5664 0.0000 2.3687
Tm 2.3059 0.0000 6.8887
```

Principal peaks in the range 2θ = 10–90°, in order of rising 2θ:
two_theta	I (rel.)
30.0	100.0
34.6	17.0
34.8	33.8
49.9	24.3
50.0	12.2
59.2	14.5
59.4	29.0
62.3	12.5
81.1	8.9
83.9	6.9